# 1
Y6TmCd: computed X-ray diffraction stick pattern (a wavelength of 1.5418 Å), based on a DFT-relaxed cell (PBE, Alexandria).
Kinematic intensities with the Lorentz-polarization factor, no thermal factor.

Largest 10 diffraction maxima, low angle first, 2θ = 10–90°:
2θ/deg, Rel. int.
26.6, 17
28.5, 53
30.8, 80
33.0, 34
33.5, 35
34.5, 100
37.5, 28
52.2, 29
55.1, 18
58.6, 18

Cell and atoms:
```
Y6TmCd
1.0
4.634 2.676 3.349
-4.634 2.676 3.349
0.000 -5.351 3.349
Y Tm Cd
6 1 1
direct
0.040 0.758 0.550 Y
0.242 0.450 0.960 Y
0.450 0.960 0.242 Y
0.550 0.040 0.758 Y
0.758 0.550 0.040 Y
0.960 0.242 0.450 Y
0.500 0.500 0.500 Tm
0.000 0.000 0.000 Cd
```

=====

# 2
DyMgCd3: computed X-ray diffraction stick pattern (a wavelength of 1.5418 Å), based on a DFT-relaxed cell (PBE, Alexandria).
Kinematic intensities with the Lorentz-polarization factor, no thermal factor.

Largest 10 diffraction maxima, low angle first, 2θ = 10–90°:
2θ/deg, Rel. int.
14.8, 10
29.8, 19
30.2, 32
33.5, 100
42.7, 11
43.0, 22
48.0, 12
52.9, 14
55.8, 22
62.1, 13

Cell and atoms:
```
DyMgCd3
1.0
6.929 0.000 0.000
-3.465 6.001 0.000
0.000 0.000 5.909
Dy Mg Cd
2 2 6
direct
0.333 0.667 0.250 Dy
0.667 0.333 0.750 Dy
0.000 0.000 0.000 Mg
0.000 0.000 0.500 Mg
0.196 0.393 0.750 Cd
0.196 0.804 0.750 Cd
0.393 0.196 0.250 Cd
0.607 0.804 0.750 Cd
0.804 0.196 0.250 Cd
0.804 0.607 0.250 Cd
```

=====

# 3
MnGaIrPt: computed X-ray diffraction stick pattern (a wavelength of 1.5418 Å), based on a DFT-relaxed cell (PBE, Alexandria).
Kinematic intensities with the Lorentz-polarization factor, no thermal factor.

Largest 10 diffraction maxima, low angle first, 2θ = 10–90°:
2θ/deg, Rel. int.
25.6, 20
31.0, 25
40.6, 100
44.4, 39
51.9, 12
52.6, 12
64.6, 13
71.2, 19
79.1, 28
87.9, 11

Cell and atoms:
```
MnGaIrPt
1.0
-2.041 2.041 3.481
2.041 -2.041 3.481
2.041 2.041 -3.481
Mn Ga Ir Pt
1 1 1 1
direct
0.000 0.000 0.000 Mn
0.500 0.500 0.000 Ga
0.750 0.250 0.500 Ir
0.250 0.750 0.500 Pt
```

=====

# 4
TcRh2Au: computed X-ray diffraction stick pattern (a wavelength of 1.5418 Å), based on a DFT-relaxed cell (PBE, Alexandria).
Kinematic intensities with the Lorentz-polarization factor, no thermal factor.

Largest 10 diffraction maxima, low angle first, 2θ = 10–90°:
2θ/deg, Rel. int.
19.4, 7
39.4, 32
39.7, 100
46.1, 64
67.0, 19
67.5, 21
80.6, 11
81.1, 24
81.3, 12
85.7, 11

Cell and atoms:
```
TcRh2Au
1.0
1.388 0.801 9.147
-1.388 0.801 9.147
0.000 -1.602 9.147
Tc Rh Au
1 2 1
direct
0.000 0.000 0.000 Tc
0.258 0.258 0.258 Rh
0.509 0.509 0.509 Rh
0.755 0.755 0.755 Au
```